No. 1
The following is a computed powder X-ray diffraction pattern of PrSiPd2. It was derived from a DFT-relaxed cell (GGA-PBE, the Materials Project), using copper Kα.
Lines closer than 0.1° are merged.

Top 10 peaks for 2θ = 10–80°, in order of rising 2θ:
index	Position (°2θ)	I/Imax
2 1 1	30.92	71
1 2 1	32.23	75
1 0 2	33.31	61
2 2 0	34.85	85
1 1 2	35.78	100
2 2 1	38.31	49
3 0 1	38.72	83
0 3 1	41.91	34
1 3 1	43.63	45
4 3 0	63.08	59

Structural model:
Unit cell a=7.6292 b=6.9756 c=5.7482 alpha=90.00 beta=90.00 gamma=90.00
Space group Pnma (No. 62)
Unique sites:
Pr (0.0304, 0.2500, 0.1456) (multiplicity 4)
Si (0.1255, 0.7500, 0.3521) (multiplicity 4)
Pd (0.1742, 0.0526, 0.5933) (multiplicity 8)



No. 2
The following is a computed powder X-ray diffraction pattern of Pr3Si6Pd20. It was derived from a DFT-relaxed cell (GGA-PBE, the Materials Project), using copper Kα.
Lines closer than 0.1° are merged.

Top 10 peaks for 2θ = 10–80°, in order of rising 2θ:
index	Position (°2θ)	I/Imax
4 2 0	32.18	23
4 2 2	35.35	31
3 3 3	37.57	100
4 4 0	41.05	30
5 3 1	43.02	24
6 2 2	48.55	12
6 6 0	63.45	29
5 5 5	64.92	14
8 4 4	74.78	18
9 3 3	76.14	9

Structural model:
Unit cell a=12.4392 b=12.4392 c=12.4392 alpha=90.00 beta=90.00 gamma=90.00
Space group Fm-3m (No. 225)
Unique sites:
Pr (0.0000, 0.0000, 0.0000) (multiplicity 4)
Pr (0.2500, 0.2500, 0.2500) (multiplicity 8)
Si (0.0000, 0.0000, 0.2671) (multiplicity 24)
Pd (0.0000, 0.1736, 0.1736) (multiplicity 48)
Pd (0.1145, 0.1145, 0.3855) (multiplicity 32)



No. 3
The following is a computed powder X-ray diffraction pattern of PrSnPd. It was derived from a DFT-relaxed cell (GGA-PBE, the Materials Project), using copper Kα.
Lines closer than 0.1° are merged.

Top 10 peaks for 2θ = 10–80°, in order of rising 2θ:
index	Position (°2θ)	I/Imax
1 1 1	31.62	100
2 0 1	34.43	98
2 1 0	35.60	53
3 0 0	40.56	33
2 1 1	41.86	28
0 0 2	43.39	29
3 1 1	54.23	17
2 1 2	57.33	27
3 0 2	60.90	20
3 2 1	64.89	32

Structural model:
Unit cell a=7.7039 b=7.7039 c=4.1708 alpha=90.00 beta=90.00 gamma=120.00
Space group P-62m (No. 189)
Unique sites:
Pr (0.0000, 0.4114, 0.0000) (multiplicity 3)
Sn (0.0000, 0.7492, 0.5000) (multiplicity 3)
Pd (0.0000, 0.0000, 0.0000) (multiplicity 1)
Pd (0.3333, 0.6667, 0.5000) (multiplicity 2)